Theoretical powder X-ray diffraction pattern of Dy3ErTl for λ = 1.5418 Å (Cu Kα), from a crystal structure in Alexandria, relaxed with PBE.
Kinematic intensities with the Lorentz-polarization factor, no thermal factor.

Structure:
Unit cell a=9.794 b=9.794 c=6.519 alpha=100.36 beta=100.36 gamma=84.08
Sites, in units of the cell vectors:
Dy (0.094, 0.714, 0.521)
Dy (0.123, 0.500, 0.859)
Dy (0.231, 0.373, 0.358)
Dy (0.286, 0.906, 0.979)
Dy (0.373, 0.231, 0.858)
Dy (0.500, 0.123, 0.359)
Dy (0.500, 0.877, 0.641)
Dy (0.627, 0.769, 0.142)
Dy (0.714, 0.094, 0.021)
Dy (0.769, 0.627, 0.642)
Dy (0.877, 0.500, 0.141)
Dy (0.906, 0.286, 0.479)
Er (0.037, 0.171, 0.960)
Er (0.171, 0.037, 0.460)
Er (0.829, 0.963, 0.540)
Er (0.963, 0.829, 0.040)
Tl (0.336, 0.664, 0.250)
Tl (0.416, 0.584, 0.750)
Tl (0.584, 0.416, 0.250)
Tl (0.664, 0.336, 0.750)

Largest 8 diffraction maxima, in order of rising 2θ, 5 to 70 degrees two-theta:
d 2.867, I = 49; d 2.804, I = 100; d 2.760, I = 44; d 2.703, I = 48; d 2.685, I = 40; d 2.077, I = 17; d 1.579, I = 23; d 1.469, I = 20